# 1
Structure and theoretical powder diffraction line list of Mn3As4O16 (the GGA+U geometry in the Materials Project; Cu Kα (weighted mean of Kα1 and Kα2)).
Lines closer than 0.1° are merged.

Atomic structure:
Lattice parameters (Å, degrees): 8.506 5.108 15.826 90.00 112.34 90.00
Space group P2_1/c (No. 14)
Asymmetric unit:
Mn: 0.000 0.000 0.000
Mn: 0.273 0.052 0.627
As: 0.080 0.043 0.397
As: 0.458 0.048 0.851
O: 0.033 0.250 0.099
O: 0.098 0.734 0.096
O: 0.134 0.079 0.309
O: 0.229 0.145 0.501
O: 0.292 0.511 0.248
O: 0.368 0.115 0.156
O: 0.390 0.555 0.434
O: 0.471 0.629 0.132

Largest 6 diffraction maxima, by angle, 10° ≤ 2θ ≤ 90°:
(1 0 -2), 13.02°, I = 78; (1 1 -1), 20.36°, I = 86; (0 0 4), 24.32°, I = 71; (1 1 -3), 24.65°, I = 50; (2 1 -1), 27.41°, I = 100; (0 2 0), 35.14°, I = 39

---

# 2
Structure and theoretical powder diffraction line list of Li9Mn2Co5O16 (the GGA+U geometry in the Materials Project; Cu Kα (weighted mean of Kα1 and Kα2)).
Lines closer than 0.1° are merged.

Atomic structure:
Lattice parameters (Å, degrees): 10.283 2.910 10.340 90.00 110.17 90.00
Space group Pm (No. 6)
Asymmetric unit:
Li: 0.000 0.000 0.000
Li: 0.002 0.000 0.500
Li: 0.253 0.500 0.989
Li: 0.258 0.500 0.501
Li: 0.517 0.000 0.506
Li: 0.519 0.000 0.003
Li: 0.758 0.000 0.245
Li: 0.765 0.500 0.008
Li: 0.771 0.500 0.494
Mn: 0.258 0.000 0.248
Mn: 0.516 0.500 0.247
Co: 0.009 0.500 0.753
Co: 0.260 0.000 0.748
Co: 0.510 0.500 0.747
Co: 0.759 0.000 0.749
Co: 0.989 0.500 0.257
O: 0.125 0.000 0.867
O: 0.144 0.000 0.356
O: 0.147 0.500 0.642
O: 0.155 0.500 0.136
O: 0.372 0.500 0.856
O: 0.377 0.500 0.355
O: 0.390 0.000 0.142
O: 0.395 0.000 0.630
O: 0.616 0.500 0.134
O: 0.617 0.000 0.361
O: 0.627 0.000 0.864
O: 0.642 0.500 0.633
O: 0.877 0.500 0.863
O: 0.892 0.000 0.635
O: 0.893 0.000 0.130
O: 0.897 0.500 0.376

Largest 6 diffraction maxima, by angle, 10° ≤ 2θ ≤ 90°:
(0 0 2), 18.28°, I = 100; (2 1 0), 36.04°, I = 26; (4 0 -4), 42.78°, I = 28; (2 1 2), 43.68°, I = 54; (2 1 -6), 62.65°, I = 15; (4 0 4), 62.96°, I = 21

---

# 3
Structure and theoretical powder diffraction line list of Li9Mn7O16 (the GGA+U geometry in the Materials Project; Cu Kα (weighted mean of Kα1 and Kα2)).
Lines closer than 0.1° are merged.

Atomic structure:
Lattice parameters (Å, degrees): 3.013 6.066 16.373 90.01 90.87 94.80
Space group P-1 (No. 2)
Asymmetric unit:
Li: 0.000 0.000 0.000
Li: 0.000 0.000 0.500
Li: 0.000 0.500 0.000
Li: 0.004 0.496 0.751
Li: 0.496 0.743 0.885
Li: 0.499 0.250 0.625
Mn: 0.000 0.500 0.500
Mn: 0.008 0.994 0.249
Mn: 0.497 0.258 0.881
Mn: 0.500 0.249 0.374
O: 0.025 0.467 0.875
O: 0.031 0.969 0.128
O: 0.032 0.005 0.369
O: 0.034 0.506 0.620
O: 0.465 0.243 0.757
O: 0.467 0.744 0.506
O: 0.469 0.240 0.253
O: 0.496 0.752 0.008

Largest 6 diffraction maxima, by angle, 10° ≤ 2θ ≤ 90°:
(0 1 -2), 18.23°, I = 100; (-1 1 2), 33.88°, I = 19; (0 1 6), 36.14°, I = 11; (1 1 2), 36.36°, I = 11; (1 -2 0), 40.54°, I = 35; (1 2 0), 44.27°, I = 53

---

# 4
Structure and theoretical powder diffraction line list of Li5Co5Sn2O12 (the GGA+U geometry in the Materials Project; Cu Kα (weighted mean of Kα1 and Kα2)).
Lines closer than 0.1° are merged.

Atomic structure:
Lattice parameters (Å, degrees): 5.207 9.168 10.053 90.00 101.76 90.00
Space group C2 (No. 5)
Asymmetric unit:
Li: 0.000 0.000 0.000
Li: 0.241 0.343 0.757
Li: 0.247 0.479 0.249
Co: 0.000 0.333 0.000
Co: 0.000 0.497 0.500
Co: 0.000 0.830 0.500
Co: 0.249 0.162 0.247
Sn: 0.000 0.163 0.500
Sn: 0.000 0.663 0.000
O: 0.107 0.494 0.885
O: 0.114 0.183 0.886
O: 0.122 0.005 0.376
O: 0.122 0.663 0.376
O: 0.125 0.325 0.381
O: 0.146 0.822 0.883

Largest 6 diffraction maxima, by angle, 10° ≤ 2θ ≤ 90°:
(0 0 2), 18.03°, I = 69; (0 2 0), 19.36°, I = 44; (1 1 1), 23.34°, I = 59; (1 3 1), 36.39°, I = 38; (1 3 -3), 41.80°, I = 100; (2 0 2), 43.18°, I = 46

---

# 5
Structure and theoretical powder diffraction line list of Li3Fe8B8O24 (the GGA+U geometry in the Materials Project; Cu Kα (weighted mean of Kα1 and Kα2)).
Lines closer than 0.1° are merged.

Atomic structure:
Lattice parameters (Å, degrees): 5.260 9.114 11.393 66.46 77.04 89.25
Space group P1 (No. 1)
Asymmetric unit:
Li: 0.000 0.000 0.000
Li: 0.232 0.213 0.255
Li: 0.763 0.738 0.512
Fe: 0.013 0.678 0.972
Fe: 0.252 0.892 0.221
Fe: 0.282 0.587 0.474
Fe: 0.488 0.810 0.732
Fe: 0.515 0.197 0.968
Fe: 0.741 0.403 0.218
Fe: 0.776 0.096 0.480
Fe: 0.989 0.307 0.729
B: 0.003 0.645 0.716
B: 0.017 0.346 0.981
B: 0.231 0.552 0.226
B: 0.283 0.928 0.469
B: 0.488 0.141 0.725
B: 0.529 0.855 0.974
B: 0.745 0.067 0.222
B: 0.787 0.438 0.470
O: 0.005 0.574 0.181
O: 0.014 0.415 0.519
O: 0.131 0.724 0.769
O: 0.134 0.532 0.675
O: 0.154 0.060 0.453
O: 0.185 0.811 0.429
O: 0.226 0.153 0.732
O: 0.266 0.343 0.992
O: 0.306 0.662 0.274
O: 0.367 0.953 0.026
O: 0.376 0.427 0.229
O: 0.409 0.769 0.922
O: 0.494 0.070 0.199
O: 0.508 0.896 0.516
O: 0.616 0.031 0.682
O: 0.626 0.235 0.764
O: 0.642 0.564 0.475
O: 0.716 0.338 0.417
O: 0.757 0.678 0.698
O: 0.784 0.851 0.978
O: 0.829 0.178 0.263
O: 0.847 0.443 0.025
O: 0.909 0.956 0.203
O: 0.915 0.248 0.928

Largest 6 diffraction maxima, by angle, 10° ≤ 2θ ≤ 90°:
(1 -1 0), 19.60°, I = 65; (1 1 2), 21.40°, I = 100; (0 2 -1), 26.24°, I = 37; (1 1 3), 26.37°, I = 42; (2 0 1), 34.10°, I = 29; (0 0 4), 35.40°, I = 75

---

# 6
Structure and theoretical powder diffraction line list of Cs2LiTm2W4O16 (the GGA+U geometry in the Materials Project; Cu Kα (weighted mean of Kα1 and Kα2)).
Lines closer than 0.1° are merged.

Atomic structure:
Lattice parameters (Å, degrees): 7.506 7.525 7.857 90.36 116.46 116.75
Space group P1 (No. 1)
Asymmetric unit:
Cs: 0.000 0.000 0.000
Cs: 0.484 0.430 0.581
Li: 0.650 0.277 0.877
Tm: 0.007 0.457 0.611
Tm: 0.488 0.947 0.023
W: 0.064 0.509 0.138
W: 0.465 0.920 0.499
W: 0.555 0.521 0.106
W: 0.964 0.905 0.507
O: 0.053 0.176 0.591
O: 0.117 0.830 0.733
O: 0.190 0.972 0.434
O: 0.220 0.626 0.448
O: 0.304 0.814 0.194
O: 0.325 0.456 0.181
O: 0.393 0.603 0.887
O: 0.454 0.243 0.015
O: 0.545 0.997 0.761
O: 0.638 0.172 0.468
O: 0.689 0.843 0.556
O: 0.723 0.845 0.227
O: 0.787 0.581 0.392
O: 0.806 0.581 0.054
O: 0.862 0.254 0.149
O: 0.949 0.444 0.856

Largest 6 diffraction maxima, by angle, 10° ≤ 2θ ≤ 90°:
(0 0 2), 26.25°, I = 100; (0 2 0), 27.48°, I = 78; (2 0 -2), 28.75°, I = 76; (2 -2 0), 29.13°, I = 82; (2 0 0), 30.85°, I = 57; (0 2 -2), 32.83°, I = 62

---

# 7
Structure and theoretical powder diffraction line list of Na2VPCO7 (the GGA+U geometry in the Materials Project; Cu Kα (weighted mean of Kα1 and Kα2)).
Lines closer than 0.1° are merged.

Atomic structure:
Lattice parameters (Å, degrees): 10.371 6.557 10.565 90.00 119.03 90.00
Space group Pm (No. 6)
Asymmetric unit:
Na: 0.000 0.243 0.000
Na: 0.001 0.243 0.500
Na: 0.456 0.257 0.968
Na: 0.457 0.257 0.469
V: 0.579 0.000 0.305
V: 0.580 0.000 0.805
V: 0.877 0.500 0.163
V: 0.877 0.500 0.664
P: 0.652 0.500 0.804
P: 0.653 0.500 0.305
P: 0.804 0.000 0.165
P: 0.804 0.000 0.665
C: 0.147 0.500 0.831
C: 0.148 0.500 0.331
C: 0.309 0.000 0.138
C: 0.309 0.000 0.637
O: 0.045 0.500 0.373
O: 0.046 0.500 0.874
O: 0.088 0.500 0.689
O: 0.090 0.500 0.189
O: 0.173 0.000 0.050
O: 0.173 0.000 0.551
O: 0.283 0.500 0.419
O: 0.283 0.500 0.918
O: 0.366 0.000 0.280
O: 0.368 0.000 0.780
O: 0.411 0.000 0.595
O: 0.412 0.000 0.096
O: 0.562 0.309 0.799
O: 0.565 0.309 0.305
O: 0.652 0.000 0.023
O: 0.653 0.000 0.523
O: 0.675 0.500 0.169
O: 0.678 0.500 0.670
O: 0.778 0.000 0.799
O: 0.781 0.000 0.300
O: 0.803 0.500 0.946
O: 0.806 0.500 0.446
O: 0.893 0.191 0.167
O: 0.894 0.191 0.670

Largest 6 diffraction maxima, by angle, 10° ≤ 2θ ≤ 90°:
(1 1 0), 16.69°, I = 68; (2 1 -2), 23.95°, I = 50; (1 0 2), 25.54°, I = 69; (0 2 0), 27.20°, I = 55; (2 0 2), 33.76°, I = 100; (2 0 -4), 33.96°, I = 50

---

# 8
Structure and theoretical powder diffraction line list of SrTbEuWO6 (the GGA+U geometry in the Materials Project; Cu Kα (weighted mean of Kα1 and Kα2)).
Lines closer than 0.1° are merged.

Atomic structure:
Lattice parameters (Å, degrees): 8.421 8.421 8.421 90.00 90.00 90.00
Space group F-43m (No. 216)
Asymmetric unit:
Sr: 0.000 0.000 0.000
Tb: 0.250 0.250 0.250
Eu: 0.000 0.000 0.500
W: 0.250 0.250 0.750
O: 0.014 0.250 0.750

Largest 6 diffraction maxima, by angle, 10° ≤ 2θ ≤ 90°:
(2 2 0), 30.01°, I = 100; (4 0 0), 42.96°, I = 29; (4 2 2), 53.29°, I = 41; (4 4 0), 62.38°, I = 18; (6 2 0), 70.76°, I = 18; (6 4 2), 86.48°, I = 22

---

Number 4 is which compound? Li5Co5Sn2O12